# 1
Structure and theoretical powder diffractogram of Hf3ScSn2 (a structure optimized by DFT (GGA-PBE); Cu Kα (λ = 1.5418 Å)).

a = 8.625 Å, b = 8.625 Å, c = 8.793 Å
α = 111.95°, β = 111.95°, γ = 27.62°
Fractional coordinates of all 12 atoms:
Hf  0.057  0.057  0.174
Hf  0.310  0.310  0.606
Hf  0.371  0.371  0.008
Hf  0.629  0.629  0.992
Hf  0.690  0.690  0.394
Hf  0.943  0.943  0.826
Sc  0.116  0.116  0.614
Sc  0.884  0.884  0.386
Sn  0.251  0.251  0.209
Sn  0.494  0.494  0.653
Sn  0.506  0.506  0.347
Sn  0.749  0.749  0.791

Top 12 peaks for 15° ≤ 2θ ≤ 90°, most intense first:
34.51°, rel. 100
38.34°, rel. 89
33.06°, rel. 78
37.83°, rel. 74
43.99°, rel. 63
59.37°, rel. 41
36.30°, rel. 33
32.28°, rel. 25
27.73°, rel. 25
68.22°, rel. 20
40.61°, rel. 19
68.88°, rel. 17

# 2
Structure and theoretical powder diffractogram of Ba4Tm2Cu6O13 (a structure optimized by DFT (GGA-PBE); Cu Kα (λ = 1.5418 Å)).

a = 12.656 Å, b = 12.637 Å, c = 5.477 Å
α = 77.70°, β = 77.29°, γ = 25.01°
Fractional coordinates of all 25 atoms:
Ba  0.145  0.662  0.855
Ba  0.338  0.855  0.662
Ba  0.662  0.145  0.338
Ba  0.855  0.338  0.145
Tm  0.000  0.500  0.000
Tm  0.500  0.000  0.500
Cu  0.066  0.564  0.436
Cu  0.243  0.757  0.243
Cu  0.436  0.934  0.066
Cu  0.564  0.066  0.934
Cu  0.757  0.243  0.757
Cu  0.934  0.436  0.564
O  0.000  0.000  0.000
O  0.190  0.190  0.810
O  0.192  0.192  0.308
O  0.198  0.652  0.348
O  0.307  0.307  0.693
O  0.308  0.308  0.192
O  0.348  0.802  0.198
O  0.652  0.198  0.802
O  0.692  0.692  0.808
O  0.693  0.693  0.307
O  0.802  0.348  0.652
O  0.808  0.808  0.692
O  0.810  0.810  0.190

Top 12 peaks for 15° ≤ 2θ ≤ 90°, most intense first:
32.70°, rel. 100
32.26°, rel. 89
31.98°, rel. 86
57.74°, rel. 34
58.27°, rel. 31
39.86°, rel. 29
46.51°, rel. 28
47.34°, rel. 26
56.89°, rel. 22
37.74°, rel. 18
22.15°, rel. 16
68.54°, rel. 16

# 3
Structure and theoretical powder diffractogram of KSi2S2 (a structure optimized by DFT (GGA-PBE); Cu Kα (λ = 1.5418 Å)).

a = 6.240 Å, b = 6.240 Å, c = 6.240 Å
α = 135.91°, β = 135.91°, γ = 64.12°
Fractional coordinates of all 5 atoms:
K  0.000  0.000  0.000
Si  0.330  0.330  0.000
Si  0.670  0.670  0.000
S  0.250  0.750  0.500
S  0.750  0.250  0.500

Top 12 peaks for 15° ≤ 2θ ≤ 90°, most intense first:
31.77°, rel. 100
38.43°, rel. 79
31.88°, rel. 60
16.76°, rel. 50
50.69°, rel. 48
59.39°, rel. 40
85.65°, rel. 28
55.48°, rel. 25
65.39°, rel. 22
33.90°, rel. 15
52.17°, rel. 14
42.20°, rel. 14

# 4
Structure and theoretical powder diffractogram of ZnGa6Ag2 (a structure optimized by DFT (GGA-PBE); Cu Kα (λ = 1.5418 Å)).

a = 6.862 Å, b = 6.862 Å, c = 6.862 Å
α = 50.13°, β = 50.13°, γ = 50.13°
Fractional coordinates of all 9 atoms:
Zn  0.000  0.000  0.000
Ga  0.251  0.721  0.718
Ga  0.457  0.915  0.923
Ga  0.718  0.251  0.721
Ga  0.721  0.718  0.251
Ga  0.915  0.923  0.457
Ga  0.923  0.457  0.915
Ag  0.227  0.227  0.227
Ag  0.394  0.394  0.394

Top 12 peaks for 15° ≤ 2θ ≤ 90°, most intense first:
36.03°, rel. 100
43.92°, rel. 91
41.11°, rel. 61
29.86°, rel. 46
64.08°, rel. 40
30.58°, rel. 30
72.29°, rel. 26
63.63°, rel. 20
30.76°, rel. 14
37.09°, rel. 14
80.93°, rel. 13
45.46°, rel. 12

# 5
Structure and theoretical powder diffractogram of Ac2Pm5Er4 (a structure optimized by DFT (GGA-PBE); Cu Kα (λ = 1.5418 Å)).

a = 3.688 Å, b = 8.963 Å, c = 12.105 Å
α = 104.97°, β = 98.74°, γ = 90.03°
Fractional coordinates of all 11 atoms:
Ac  0.091  0.222  0.179
Ac  0.909  0.778  0.821
Pm  0.000  0.500  0.000
Pm  0.272  0.688  0.543
Pm  0.363  0.402  0.725
Pm  0.637  0.598  0.275
Pm  0.728  0.312  0.457
Er  0.182  0.953  0.365
Er  0.450  0.143  0.901
Er  0.550  0.857  0.099
Er  0.818  0.047  0.635

Top 12 peaks for 15° ≤ 2θ ≤ 90°, most intense first:
29.87°, rel. 100
29.96°, rel. 33
49.95°, rel. 32
34.45°, rel. 23
34.48°, rel. 23
35.02°, rel. 22
58.87°, rel. 20
59.01°, rel. 19
59.68°, rel. 19
81.10°, rel. 10
62.01°, rel. 9
49.43°, rel. 8

# 6
Structure and theoretical powder diffractogram of Rb2CaF7 (a structure optimized by DFT (GGA-PBE); Cu Kα (λ = 1.5418 Å)).

a = 6.261 Å, b = 6.261 Å, c = 6.261 Å
α = 120.06°, β = 120.06°, γ = 89.90°
Fractional coordinates of all 10 atoms:
Rb  0.250  0.750  0.500
Rb  0.750  0.250  0.500
Ca  0.000  0.000  0.000
F  0.250  0.250  0.000
F  0.251  0.251  0.501
F  0.251  0.749  0.000
F  0.500  0.500  0.000
F  0.749  0.251  0.000
F  0.749  0.749  0.499
F  0.750  0.750  0.000

Top 12 peaks for 15° ≤ 2θ ≤ 90°, most intense first:
28.52°, rel. 100
40.77°, rel. 59
35.12°, rel. 53
50.51°, rel. 40
59.03°, rel. 35
20.06°, rel. 14
81.32°, rel. 13
66.88°, rel. 11
70.61°, rel. 11
74.22°, rel. 11
45.84°, rel. 8
81.39°, rel. 7